The following is a theoretical X-ray powder pattern of AcGaSn. It was derived from a cell relaxed with PBE, using CuKα.
Intensities are scaled so that the largest is 1000.

Most intense lines, 10° ≤ 2θ ≤ 90°, sorted by position:
2theta  I/Imax  h k l
22.44  152  1 0 0
29.00  1000  1 0 1
39.39  380  1 1 0
43.47  175  0 1 2
49.65  233  0 2 1
54.95  174  1 1 2
61.47  101  1 0 3
65.15  210  2 1 1

Structural model:
abc: 4.5745 4.5745 4.8940
angles: 90.00 90.00 120.00
Space group P3m1 (No. 156)
Inequivalent atoms, fractional coordinates:
Ac (0.0000, 0.0000, 0.0000) [1 per cell]
Ga (0.3333, 0.6667, 0.6254) [1 per cell]
Sn (0.6667, 0.3333, 0.4501) [1 per cell]